[1]
Rb3PuAg2Cl9: calculated powder diffraction line list (CuKα), based on DFT lattice parameters and positions (PBE).
Kinematic intensities with the Lorentz-polarization factor, no thermal factor.

Crystal structure
a = 7.556 Å, b = 7.556 Å, c = 9.422 Å
α = 90.00°, β = 90.00°, γ = 120.00°
Fractional positions:
Rb 0.000 0.000 0.000
Rb 0.333 0.667 0.727
Rb 0.667 0.333 0.273
Pu 0.000 0.000 0.500
Ag 0.333 0.667 0.156
Ag 0.667 0.333 0.844
Cl 0.000 0.500 0.000
Cl 0.163 0.326 0.337
Cl 0.163 0.837 0.337
Cl 0.326 0.163 0.663
Cl 0.500 0.000 0.000
Cl 0.500 0.500 0.000
Cl 0.674 0.837 0.337
Cl 0.837 0.163 0.663
Cl 0.837 0.674 0.663

Largest 8 diffraction maxima, low angle first, 2θ = 10–80°:
| Position (°2θ) | I (rel.) |
| --- | --- |
| 16.49 | 76 |
| 23.27 | 86 |
| 23.55 | 87 |
| 33.34 | 100 |
| 37.23 | 23 |
| 41.23 | 41 |
| 47.57 | 26 |
| 48.17 | 35 |

[2]
Ti3Co: calculated powder diffraction line list (CuKα), based on DFT lattice parameters and positions (PBE).
Kinematic intensities with the Lorentz-polarization factor, no thermal factor.

Crystal structure
a = 9.724 Å, b = 9.724 Å, c = 5.160 Å
α = 90.00°, β = 90.00°, γ = 90.00°
Fractional positions:
Ti 0.040 0.040 0.250
Ti 0.040 0.460 0.750
Ti 0.103 0.750 0.000
Ti 0.154 0.154 0.750
Ti 0.154 0.346 0.250
Ti 0.250 0.603 0.500
Ti 0.250 0.897 0.500
Ti 0.346 0.154 0.250
Ti 0.346 0.346 0.750
Ti 0.397 0.750 0.000
Ti 0.460 0.040 0.750
Ti 0.460 0.460 0.250
Ti 0.540 0.540 0.750
Ti 0.540 0.960 0.250
Ti 0.603 0.250 0.000
Ti 0.654 0.654 0.250
Ti 0.654 0.846 0.750
Ti 0.750 0.103 0.500
Ti 0.750 0.397 0.500
Ti 0.846 0.654 0.750
Ti 0.846 0.846 0.250
Ti 0.897 0.250 0.000
Ti 0.960 0.540 0.250
Ti 0.960 0.960 0.750
Co 0.044 0.750 0.500
Co 0.250 0.544 0.000
Co 0.250 0.956 0.000
Co 0.456 0.750 0.500
Co 0.544 0.250 0.500
Co 0.750 0.044 0.000
Co 0.750 0.456 0.000
Co 0.956 0.250 0.500

Largest 8 diffraction maxima, low angle first, 2θ = 10–80°:
| Position (°2θ) | I (rel.) |
| --- | --- |
| 37.22 | 91 |
| 37.63 | 96 |
| 39.31 | 79 |
| 41.53 | 55 |
| 42.13 | 62 |
| 43.87 | 100 |
| 45.25 | 45 |
| 47.69 | 41 |

[3]
Li3B8C8: calculated powder diffraction line list (CuKα), based on DFT lattice parameters and positions (PBE).
Kinematic intensities with the Lorentz-polarization factor, no thermal factor.

Crystal structure
a = 7.794 Å, b = 7.794 Å, c = 4.689 Å
α = 90.74°, β = 90.74°, γ = 40.40°
Fractional positions:
Li 0.000 0.000 0.000
Li 0.250 0.250 0.996
Li 0.750 0.750 0.004
B 0.126 0.624 0.171
B 0.128 0.128 0.334
B 0.375 0.375 0.669
B 0.376 0.874 0.829
B 0.624 0.126 0.171
B 0.625 0.625 0.331
B 0.872 0.872 0.666
B 0.874 0.376 0.829
C 0.121 0.623 0.837
C 0.125 0.125 0.666
C 0.374 0.374 0.337
C 0.377 0.879 0.163
C 0.623 0.121 0.837
C 0.626 0.626 0.663
C 0.875 0.875 0.334
C 0.879 0.377 0.163

Largest 8 diffraction maxima, low angle first, 2θ = 10–80°:
| Position (°2θ) | I (rel.) |
| --- | --- |
| 24.34 | 100 |
| 38.58 | 8 |
| 45.68 | 5 |
| 45.99 | 10 |
| 46.29 | 14 |
| 49.87 | 11 |
| 69.56 | 7 |
| 75.25 | 6 |

[4]
Cu2H2Pd5: calculated powder diffraction line list (CuKα), based on DFT lattice parameters and positions (PBE).
Kinematic intensities with the Lorentz-polarization factor, no thermal factor.

Crystal structure
a = 4.749 Å, b = 4.872 Å, c = 4.984 Å
α = 98.31°, β = 97.84°, γ = 101.93°
Fractional positions:
Cu 0.077 0.146 0.293
Cu 0.923 0.854 0.707
H 0.438 0.663 0.123
H 0.562 0.337 0.877
Pd 0.191 0.402 0.850
Pd 0.350 0.716 0.454
Pd 0.500 0.000 0.000
Pd 0.650 0.284 0.546
Pd 0.809 0.598 0.150

Largest 8 diffraction maxima, low angle first, 2θ = 10–80°:
| Position (°2θ) | I (rel.) |
| --- | --- |
| 38.87 | 52 |
| 39.07 | 50 |
| 39.61 | 100 |
| 44.45 | 35 |
| 44.84 | 34 |
| 47.72 | 27 |
| 65.87 | 11 |
| 67.43 | 19 |

[5]
TmAlGe2: calculated powder diffraction line list (CuKα), based on DFT lattice parameters and positions (PBE).
Kinematic intensities with the Lorentz-polarization factor, no thermal factor.

Crystal structure
a = 3.750 Å, b = 4.560 Å, c = 10.045 Å
α = 90.00°, β = 90.00°, γ = 90.00°
Fractional positions:
Tm 0.250 0.250 0.133
Tm 0.750 0.750 0.867
Al 0.250 0.750 0.341
Al 0.750 0.250 0.659
Ge 0.250 0.250 0.463
Ge 0.250 0.250 0.844
Ge 0.750 0.750 0.156
Ge 0.750 0.750 0.537

Largest 8 diffraction maxima, low angle first, 2θ = 10–80°:
| Position (°2θ) | I (rel.) |
| --- | --- |
| 25.35 | 20 |
| 26.62 | 50 |
| 30.87 | 100 |
| 39.52 | 36 |
| 41.21 | 93 |
| 48.29 | 20 |
| 48.55 | 20 |
| 64.31 | 20 |

[6]
Ag4Te2I: calculated powder diffraction line list (CuKα), based on DFT lattice parameters and positions (PBE).
Kinematic intensities with the Lorentz-polarization factor, no thermal factor.

Crystal structure
a = 8.482 Å, b = 8.484 Å, c = 8.487 Å
α = 60.03°, β = 60.13°, γ = 89.89°
Fractional positions:
Ag 0.212 0.237 0.026
Ag 0.237 0.212 0.526
Ag 0.237 0.762 0.526
Ag 0.238 0.763 0.974
Ag 0.762 0.237 0.026
Ag 0.763 0.238 0.474
Ag 0.763 0.788 0.474
Ag 0.788 0.763 0.974
Te 0.000 0.000 0.000
Te 0.000 0.000 0.500
Te 0.000 0.500 0.000
Te 0.500 0.000 0.500
I 0.376 0.625 0.250
I 0.624 0.375 0.750

Largest 8 diffraction maxima, low angle first, 2θ = 10–80°:
| Position (°2θ) | I (rel.) |
| --- | --- |
| 20.92 | 30 |
| 24.54 | 40 |
| 24.62 | 41 |
| 29.72 | 68 |
| 29.82 | 34 |
| 38.99 | 35 |
| 42.49 | 50 |
| 42.62 | 100 |

[7]
Hf5TaGe3: calculated powder diffraction line list (CuKα), based on DFT lattice parameters and positions (PBE).
Kinematic intensities with the Lorentz-polarization factor, no thermal factor.

Crystal structure
a = 6.477 Å, b = 6.477 Å, c = 9.780 Å
α = 99.11°, β = 99.11°, γ = 78.62°
Fractional positions:
Hf 0.033 0.033 0.324
Hf 0.114 0.529 0.354
Hf 0.180 0.820 0.000
Hf 0.228 0.228 0.862
Hf 0.471 0.886 0.646
Hf 0.529 0.114 0.354
Hf 0.772 0.772 0.138
Hf 0.820 0.180 0.000
Hf 0.886 0.471 0.646
Hf 0.967 0.967 0.676
Ta 0.466 0.466 0.743
Ta 0.534 0.534 0.257
Ge 0.222 0.222 0.141
Ge 0.227 0.227 0.558
Ge 0.500 0.500 0.000
Ge 0.500 0.500 0.500
Ge 0.773 0.773 0.442
Ge 0.778 0.778 0.859

Largest 8 diffraction maxima, low angle first, 2θ = 10–80°:
| Position (°2θ) | I (rel.) |
| --- | --- |
| 31.05 | 100 |
| 31.91 | 84 |
| 34.81 | 52 |
| 35.89 | 47 |
| 36.62 | 56 |
| 36.76 | 46 |
| 42.95 | 48 |
| 43.11 | 35 |

[8]
Pr3B2Pt9: calculated powder diffraction line list (CuKα), based on DFT lattice parameters and positions (PBE).
Kinematic intensities with the Lorentz-polarization factor, no thermal factor.

Crystal structure
a = 6.327 Å, b = 6.327 Å, c = 14.298 Å
α = 90.00°, β = 90.00°, γ = 120.00°
Fractional positions:
Pr 0.000 0.000 0.250
Pr 0.000 0.000 0.750
Pr 0.333 0.667 0.083
Pr 0.333 0.667 0.417
Pr 0.667 0.333 0.583
Pr 0.667 0.333 0.917
B 0.333 0.667 0.640
B 0.333 0.667 0.860
B 0.667 0.333 0.140
B 0.667 0.333 0.360
Pt 0.026 0.513 0.750
Pt 0.156 0.311 0.581
Pt 0.156 0.311 0.919
Pt 0.156 0.844 0.581
Pt 0.156 0.844 0.919
Pt 0.311 0.156 0.081
Pt 0.311 0.156 0.419
Pt 0.487 0.513 0.750
Pt 0.487 0.974 0.750
Pt 0.513 0.026 0.250
Pt 0.513 0.487 0.250
Pt 0.689 0.844 0.581
Pt 0.689 0.844 0.919
Pt 0.844 0.156 0.081
Pt 0.844 0.156 0.419
Pt 0.844 0.689 0.081
Pt 0.844 0.689 0.419
Pt 0.974 0.487 0.250

Largest 8 diffraction maxima, low angle first, 2θ = 10–80°:
| Position (°2θ) | I (rel.) |
| --- | --- |
| 33.30 | 33 |
| 35.08 | 95 |
| 37.75 | 52 |
| 37.88 | 100 |
| 41.53 | 55 |
| 58.34 | 41 |
| 62.00 | 20 |
| 71.63 | 58 |

[9]
La8SmEr2: calculated powder diffraction line list (CuKα), based on DFT lattice parameters and positions (PBE).
Kinematic intensities with the Lorentz-polarization factor, no thermal factor.

Crystal structure
a = 9.611 Å, b = 9.611 Å, c = 6.097 Å
α = 105.75°, β = 105.75°, γ = 122.33°
Fractional positions:
La 0.096 0.336 0.685
La 0.206 0.794 0.000
La 0.336 0.096 0.685
La 0.421 0.421 0.202
La 0.579 0.579 0.798
La 0.664 0.904 0.315
La 0.794 0.206 0.000
La 0.904 0.664 0.315
Sm 0.000 0.000 0.000
Er 0.311 0.689 0.500
Er 0.689 0.311 0.500

Largest 8 diffraction maxima, low angle first, 2θ = 10–80°:
| Position (°2θ) | I (rel.) |
| --- | --- |
| 26.60 | 20 |
| 27.61 | 25 |
| 29.47 | 100 |
| 30.37 | 91 |
| 30.62 | 43 |
| 30.95 | 21 |
| 31.58 | 48 |
| 36.57 | 20 |